Record 1
For Dy2ScCu4Ge4, a structure optimized by DFT (PBE) gives the computed X-ray powder pattern in this record (Cu Kα (λ = 1.5418 Å)).

Largest 12 diffraction maxima, by angle, 15° ≤ 2θ ≤ 90°:
| 2θ/deg | d [Å] | I_rel |
| --- | --- | --- |
| 35.23 | 2.548 | 26 |
| 35.43 | 2.534 | 95 |
| 36.42 | 2.467 | 100 |
| 39.07 | 2.305 | 30 |
| 40.08 | 2.249 | 36 |
| 43.32 | 2.089 | 45 |
| 46.01 | 1.973 | 31 |
| 48.88 | 1.863 | 15 |
| 58.89 | 1.568 | 14 |
| 65.03 | 1.434 | 19 |
| 73.47 | 1.289 | 20 |
| 81.97 | 1.175 | 16 |

Unit cell a=7.930 b=7.930 c=7.930 alpha=149.46 beta=131.22 gamma=58.65
Fractional coordinates of all 11 atoms:
Dy (0.130, 0.130, 0.000)
Dy (0.870, 0.870, 0.000)
Sc (0.500, 0.000, 0.500)
Cu (0.141, 0.331, 0.810)
Cu (0.479, 0.669, 0.810)
Cu (0.521, 0.331, 0.190)
Cu (0.859, 0.669, 0.190)
Ge (0.199, 0.500, 0.699)
Ge (0.286, 0.786, 0.500)
Ge (0.714, 0.214, 0.500)
Ge (0.801, 0.500, 0.301)

***

Record 2
For GdI4, a structure optimized by DFT (PBE) gives the computed X-ray powder pattern in this record (Cu Kα (λ = 1.5418 Å)).

Largest 12 diffraction maxima, by angle, 15° ≤ 2θ ≤ 90°:
| 2θ/deg | d [Å] | I_rel |
| --- | --- | --- |
| 15.01 | 5.902 | 44 |
| 15.94 | 5.561 | 87 |
| 16.57 | 5.349 | 60 |
| 23.91 | 3.721 | 52 |
| 24.94 | 3.570 | 51 |
| 25.20 | 3.534 | 50 |
| 28.34 | 3.149 | 100 |
| 30.72 | 2.911 | 47 |
| 33.50 | 2.675 | 37 |
| 36.99 | 2.430 | 28 |
| 39.53 | 2.280 | 42 |
| 45.01 | 2.014 | 31 |

Unit cell a=7.875 b=7.875 c=9.792 alpha=93.52 beta=93.52 gamma=118.85
Fractional coordinates of all 10 atoms:
Gd (0.174, 0.826, 0.000)
Gd (0.826, 0.174, 0.000)
I (0.084, 0.084, 0.814)
I (0.144, 0.523, 0.189)
I (0.360, 0.360, 0.567)
I (0.477, 0.856, 0.811)
I (0.523, 0.144, 0.189)
I (0.640, 0.640, 0.433)
I (0.856, 0.477, 0.811)
I (0.916, 0.916, 0.186)